Entry 1:
Simulated X-ray powder pattern
Compound: NaTl7In4
Radiation: Cu Ka
Structure: a structure optimized by DFT (PBE)

Structural model:
Cell lengths 14.0043, 5.7872, 11.2410 Å; angles 90.00, 123.44, 90.00 degrees
Space group C2/m (No. 12)
Asymmetric unit:
Na1 0.0000 0.0000 0.0000 (multiplicity 2)
Tl1 0.0000 0.5000 0.0000 (multiplicity 2)
Tl2 0.0561 0.0000 0.3921 (multiplicity 4)
Tl3 0.1934 0.5000 0.6207 (multiplicity 4)
Tl4 0.2198 0.0000 0.8862 (multiplicity 4)
In1 0.0680 0.5000 0.7730 (multiplicity 4)
In2 0.1862 0.5000 0.3255 (multiplicity 4)

Main lines, low angle first (10° ≤ 2θ ≤ 90°):
- hkl 1 1 -2, 3.999 Å, I 34
- hkl 4 0 -3, 3.182 Å, I 58
- hkl 1 1 2, 3.121 Å, I 62
- hkl 3 1 -3, 3.049 Å, I 34
- hkl 0 2 0, 2.894 Å, I 100
- hkl 3 1 1, 2.699 Å, I 99
- hkl 5 1 -3, 2.466 Å, I 36
- hkl 1 1 -4, 2.365 Å, I 36
- hkl 4 2 -3, 2.141 Å, I 39
- hkl 3 3 1, 1.631 Å, I 25

---

Entry 2:
Simulated X-ray powder pattern
Compound: Na2TlIn3
Radiation: Cu Ka
Structure: a structure optimized by DFT (PBE)

Structural model:
Cell lengths 3.4882, 5.2499, 8.9543 Å; angles 90.00, 90.00, 90.00 degrees
Space group Pmm2 (No. 25)
Asymmetric unit:
Na1 0.0000 0.0000 0.0000 (multiplicity 1)
Na2 0.0000 0.5000 0.4989 (multiplicity 1)
Tl1 0.5000 0.0000 0.3327 (multiplicity 1)
In1 0.5000 0.0000 0.6721 (multiplicity 1)
In2 0.5000 0.5000 0.1623 (multiplicity 1)
In3 0.5000 0.5000 0.8306 (multiplicity 1)

Main lines, low angle first (10° ≤ 2θ ≤ 90°):
- hkl 0 1 1, 4.529 Å, I 62
- hkl 0 0 2, 4.477 Å, I 32
- hkl 1 0 0, 3.488 Å, I 77
- hkl 1 1 1, 2.764 Å, I 72
- hkl 1 0 2, 2.752 Å, I 37
- hkl 0 2 0, 2.625 Å, I 52
- hkl 0 1 3, 2.595 Å, I 100
- hkl 1 2 0, 2.097 Å, I 38
- hkl 1 1 3, 2.082 Å, I 74
- hkl 2 1 3, 1.447 Å, I 32

---

Entry 3:
Simulated X-ray powder pattern
Compound: NaTlIn
Radiation: Cu Ka
Structure: a structure optimized by DFT (PBE)

Structural model:
Cell lengths 4.2516, 4.9911, 8.1377 Å; angles 90.00, 104.57, 90.00 degrees
Space group P2_1 (No. 4)
Asymmetric unit:
Na1 0.0856 0.0000 0.1639 (multiplicity 2)
Tl1 0.3998 0.9998 0.8045 (multiplicity 2)
In1 0.2536 0.4982 0.5072 (multiplicity 2)

Main lines, low angle first (10° ≤ 2θ ≤ 90°):
- hkl 0 1 1, 4.216 Å, I 67
- hkl 1 0 0, 4.115 Å, I 25
- hkl 1 0 -1, 4.094 Å, I 26
- hkl 1 1 1, 2.765 Å, I 100
- hkl 1 1 -2, 2.746 Å, I 99
- hkl 0 0 3, 2.625 Å, I 38
- hkl 0 2 0, 2.496 Å, I 40
- hkl 2 0 -1, 2.126 Å, I 25
- hkl 0 2 3, 1.809 Å, I 25
- hkl 2 2 -1, 1.618 Å, I 21

---

Entry 4:
Simulated X-ray powder pattern
Compound: NaTl12In6
Radiation: Cu Ka
Structure: a structure optimized by DFT (PBE)

Structural model:
Cell lengths 14.4675, 14.4675, 10.0124 Å; angles 90.00, 90.00, 120.00 degrees
Space group R-3m (No. 166, hexagonal axes)
Asymmetric unit:
Na1 0.0000 0.0000 0.0000 (multiplicity 3)
Tl1 0.0000 0.3853 0.5000 (multiplicity 18)
Tl2 0.0808 0.1616 0.2590 (multiplicity 18)
In1 0.0801 0.5401 0.2228 (multiplicity 18)

Main lines, low angle first (10° ≤ 2θ ≤ 90°):
- hkl 0 1 2, 4.649 Å, I 48
- hkl 1 3 1, 3.283 Å, I 94
- hkl 1 1 3, 3.030 Å, I 28
- hkl 3 2 1, 2.763 Å, I 100
- hkl 4 1 0, 2.734 Å, I 24
- hkl 0 3 3, 2.607 Å, I 79
- hkl 2 3 2, 2.493 Å, I 59
- hkl 5 0 2, 2.241 Å, I 44
- hkl 0 8 1, 1.548 Å, I 45
- hkl 3 5 4, 1.456 Å, I 35

---

Entry 5:
Simulated X-ray powder pattern
Compound: Na2Tl2In5
Radiation: Cu Ka
Structure: a structure optimized by DFT (PBE)

Structural model:
Cell lengths 6.2755, 9.0136, 10.6684 Å; angles 114.53, 106.26, 90.17 degrees
Space group P1 (No. 1)
Asymmetric unit:
Na1 0.0000 0.0000 0.0000 (multiplicity 1)
Na2 0.1680 0.9631 0.3490 (multiplicity 1)
Na3 0.4946 0.2856 0.9998 (multiplicity 1)
Na4 0.6794 0.6734 0.3484 (multiplicity 1)
Tl1 0.1094 0.5476 0.2004 (multiplicity 1)
Tl2 0.3324 0.3331 0.6621 (multiplicity 1)
Tl3 0.5923 0.9419 0.1992 (multiplicity 1)
Tl4 0.8243 0.6146 0.6608 (multiplicity 1)
In1 0.0758 0.9706 0.6566 (multiplicity 1)
In2 0.2216 0.6204 0.9491 (multiplicity 1)
In3 0.2624 0.6220 0.5362 (multiplicity 1)
In4 0.4075 0.3017 0.3163 (multiplicity 1)
In5 0.4387 0.8694 0.8681 (multiplicity 1)
In6 0.5736 0.9700 0.6496 (multiplicity 1)
In7 0.7258 0.6206 0.9604 (multiplicity 1)
In8 0.7740 0.2017 0.5357 (multiplicity 1)
In9 0.9055 0.3008 0.3117 (multiplicity 1)
In10 0.9303 0.2865 0.8692 (multiplicity 1)

Main lines, low angle first (10° ≤ 2θ ≤ 90°):
- hkl 0 1 0, 8.100 Å, I 36
- hkl 1 -1 0, 5.150 Å, I 51
- hkl 0 0 3, 3.076 Å, I 34
- hkl 0 3 0, 2.708 Å, I 96
- hkl 0 3 -3, 2.689 Å, I 100
- hkl 1 1 2, 2.659 Å, I 59
- hkl 1 -1 3, 2.651 Å, I 72
- hkl -1 1 3, 2.633 Å, I 35
- hkl 2 -2 0, 2.578 Å, I 69
- hkl 2 2 -2, 2.571 Å, I 49

---

Entry 6:
Simulated X-ray powder pattern
Compound: Na3Tl2In2
Radiation: Cu Ka
Structure: a structure optimized by DFT (PBE)

Structural model:
Cell lengths 9.3866, 5.3389, 8.2053 Å; angles 90.00, 110.80, 90.00 degrees
Space group C2/m (No. 12)
Asymmetric unit:
Na1 0.0000 0.0000 0.0000 (multiplicity 2)
Na2 0.1424 0.0000 0.4302 (multiplicity 4)
Tl1 0.2167 0.5000 0.1500 (multiplicity 4)
In1 0.0733 0.5000 0.7156 (multiplicity 4)

Main lines, low angle first (10° ≤ 2θ ≤ 90°):
- hkl 0 0 1, 7.670 Å, I 15
- hkl 2 0 -1, 4.565 Å, I 32
- hkl 1 1 -1, 4.283 Å, I 13
- hkl 3 1 -1, 2.699 Å, I 100
- hkl 0 2 0, 2.669 Å, I 24
- hkl 2 0 -3, 2.657 Å, I 24
- hkl 2 2 -3, 1.883 Å, I 17
- hkl 4 2 1, 1.566 Å, I 15
- hkl 3 3 -1, 1.547 Å, I 19
- hkl 5 1 -4, 1.542 Å, I 18

---

Entry 7:
Simulated X-ray powder pattern
Compound: Na8TlIn6
Radiation: Cu Ka
Structure: a structure optimized by DFT (PBE)

Structural model:
Cell lengths 9.1240, 9.1240, 19.7373 Å; angles 90.00, 90.00, 120.00 degrees
Space group R-3 (No. 148, hexagonal axes)
Asymmetric unit:
Na1 0.0000 0.0000 0.1664 (multiplicity 6)
Na2 0.0002 0.3319 0.3781 (multiplicity 18)
Tl1 0.0000 0.0000 0.5000 (multiplicity 3)
In1 0.0001 0.3288 0.5413 (multiplicity 18)

Main lines, low angle first (10° ≤ 2θ ≤ 90°):
- hkl 1 0 1, 7.336 Å, I 30
- hkl 0 0 3, 6.579 Å, I 100
- hkl 0 1 2, 6.168 Å, I 20
- hkl 2 -1 3, 3.749 Å, I 43
- hkl 2 -1 6, 2.668 Å, I 96
- hkl 3 0 0, 2.634 Å, I 93
- hkl 3 0 3, 2.445 Å, I 53
- hkl 2 -1 9, 1.977 Å, I 21
- hkl 2 2 6, 1.874 Å, I 33
- hkl 5 -1 6, 1.527 Å, I 33

---

Entry 8:
Simulated X-ray powder pattern
Compound: NaTl8In4
Radiation: Cu Ka
Structure: a structure optimized by DFT (PBE)

Structural model:
Cell lengths 12.1411, 12.1411, 12.1411 Å; angles 90.00, 90.00, 90.00 degrees
Space group F-43m (No. 216)
Asymmetric unit:
Na1 0.0000 0.0000 0.0000 (multiplicity 4)
Tl1 0.1472 0.1472 0.1472 (multiplicity 16)
Tl2 0.1546 0.1546 0.6546 (multiplicity 16)
In1 0.0963 0.0963 0.4037 (multiplicity 16)

Main lines, low angle first (10° ≤ 2θ ≤ 90°):
- hkl 1 1 1, 7.010 Å, I 14
- hkl 2 0 0, 6.071 Å, I 17
- hkl 2 2 2, 3.505 Å, I 59
- hkl 4 0 0, 3.035 Å, I 84
- hkl 4 2 2, 2.478 Å, I 100
- hkl 4 4 0, 2.146 Å, I 43
- hkl 6 0 0, 2.024 Å, I 17
- hkl 6 4 2, 1.622 Å, I 26
- hkl 8 2 2, 1.431 Å, I 59
- hkl 8 6 2, 1.191 Å, I 19

---

Entry 9:
Simulated X-ray powder pattern
Compound: Na7Tl3In
Radiation: Cu Ka
Structure: a structure optimized by DFT (PBE)

Structural model:
Cell lengths 3.6900, 27.2717, 13.1821 Å; angles 90.00, 90.00, 90.00 degrees
Space group Cmcm (No. 63)
Asymmetric unit:
Na1 0.0000 0.0150 0.1219 (multiplicity 8)
Na2 0.0000 0.1081 0.7500 (multiplicity 4)
Na3 0.0000 0.1581 0.0894 (multiplicity 8)
Na4 0.0000 0.2928 0.1098 (multiplicity 8)
Tl1 0.0000 0.2810 0.7500 (multiplicity 4)
Tl2 0.0000 0.4177 0.0412 (multiplicity 8)
In1 0.0000 0.4033 0.7500 (multiplicity 4)

Main lines, low angle first (10° ≤ 2θ ≤ 90°):
- hkl 0 2 2, 5.934 Å, I 100
- hkl 0 6 0, 4.545 Å, I 77
- hkl 0 2 3, 4.182 Å, I 69
- hkl 1 1 0, 3.657 Å, I 58
- hkl 1 1 3, 2.811 Å, I 94
- hkl 1 5 2, 2.773 Å, I 47
- hkl 0 8 3, 2.694 Å, I 87
- hkl 1 7 0, 2.679 Å, I 86
- hkl 0 6 4, 2.669 Å, I 45
- hkl 1 1 4, 2.448 Å, I 30

---

Entry 10:
Simulated X-ray powder pattern
Compound: Na2Tl5In4
Radiation: Cu Ka
Structure: a structure optimized by DFT (PBE)

Structural model:
Cell lengths 6.5730, 6.8870, 7.8079 Å; angles 79.26, 76.17, 75.32 degrees
Space group P-1 (No. 2)
Asymmetric unit:
Na1 0.1679 0.0716 0.3006 (multiplicity 2)
Tl1 0.0000 0.5000 0.0000 (multiplicity 1)
Tl2 0.2873 0.1617 0.6990 (multiplicity 2)
Tl3 0.3471 0.6815 0.6505 (multiplicity 2)
In1 0.1758 0.5647 0.3398 (multiplicity 2)
In2 0.4759 0.7444 0.0127 (multiplicity 2)

Main lines, low angle first (10° ≤ 2θ ≤ 90°):
- hkl 0 1 0, 6.602 Å, I 24
- hkl 1 0 1, 5.355 Å, I 29
- hkl 1 1 -1, 3.785 Å, I 19
- hkl 1 2 2, 2.792 Å, I 61
- hkl 1 2 -1, 2.738 Å, I 51
- hkl 1 -2 0, 2.687 Å, I 100
- hkl 2 0 2, 2.678 Å, I 54
- hkl 0 0 3, 2.505 Å, I 43
- hkl 3 2 1, 2.037 Å, I 22
- hkl 0 4 2, 1.591 Å, I 20

---

Entry 11:
Simulated X-ray powder pattern
Compound: Na5TlIn2
Radiation: Cu Ka
Structure: a structure optimized by DFT (PBE)

Structural model:
Cell lengths 6.6861, 13.2930, 5.1874 Å; angles 90.00, 90.00, 90.00 degrees
Space group Pbam (No. 55)
Asymmetric unit:
Na1 0.0000 0.0000 0.0000 (multiplicity 2)
Na2 0.0106 0.2561 0.0000 (multiplicity 4)
Na3 0.2443 0.8750 0.5000 (multiplicity 4)
Tl1 0.0000 0.5000 0.0000 (multiplicity 2)
In1 0.2357 0.6187 0.5000 (multiplicity 4)

Main lines, low angle first (10° ≤ 2θ ≤ 90°):
- hkl 0 2 0, 6.647 Å, I 47
- hkl 1 1 0, 5.973 Å, I 72
- hkl 1 2 0, 4.714 Å, I 40
- hkl 1 1 1, 3.917 Å, I 40
- hkl 1 2 1, 3.489 Å, I 39
- hkl 2 0 1, 2.810 Å, I 100
- hkl 0 4 1, 2.798 Å, I 99
- hkl 0 0 2, 2.592 Å, I 60
- hkl 2 4 0, 2.357 Å, I 60
- hkl 2 4 2, 1.744 Å, I 47

---

Entry 12:
Simulated X-ray powder pattern
Compound: Na3Tl4In2
Radiation: Cu Ka
Structure: a structure optimized by DFT (PBE)

Structural model:
Cell lengths 16.3299, 9.4161, 6.6919 Å; angles 90.00, 90.01, 90.00 degrees
Space group C2/c (No. 15)
Asymmetric unit:
Na1 0.0000 0.0002 0.2500 (multiplicity 4)
Na2 0.1662 0.5004 0.2500 (multiplicity 8)
Tl1 0.0033 0.3307 0.0000 (multiplicity 8)
Tl2 0.1663 0.1612 0.5009 (multiplicity 8)
In1 0.1696 0.1697 0.0012 (multiplicity 8)

Main lines, low angle first (10° ≤ 2θ ≤ 90°):
- hkl 3 1 0, 4.711 Å, I 69
- hkl 0 0 2, 3.346 Å, I 47
- hkl 6 0 0, 2.726 Å, I 100
- hkl 3 3 0, 2.719 Å, I 73
- hkl 3 3 2, 2.111 Å, I 80
- hkl 0 4 2, 1.926 Å, I 23
- hkl 9 3 0, 1.572 Å, I 37
- hkl 3 3 4, 1.425 Å, I 30
- hkl 0 6 2, 1.422 Å, I 23
- hkl 6 6 2, 1.260 Å, I 15